The following is a calculated powder X-ray diffraction pattern of NbCr2CdO6. It was derived from DFT lattice parameters and positions (GGA+U), using Cu Kα (λ = 1.5418 Å).

a b c (Å): 5.256 5.370 5.633
angles (deg): 65.10 89.24 61.04
Fractional coordinates of all 10 atoms:
Nb (0.000, 0.000, 0.000)
Cr (0.198, 0.590, 0.606)
Cr (0.697, 0.604, 0.083)
Cd (0.460, 0.059, 0.438)
O (0.044, 0.552, 0.289)
O (0.303, 0.776, 0.827)
O (0.402, 0.762, 0.296)
O (0.649, 0.048, 0.834)
O (0.809, 0.145, 0.274)
O (0.948, 0.428, 0.840)

Peak list (12 most intense, 2θ from 10° to 90°, by intensity)
hkl 1 0 1, 2θ = 30.0°, I = 100; hkl 1 1 -1, 2θ = 30.5°, I = 90; hkl -1 1 1, 2θ = 33.3°, I = 84; hkl 0 1 2, 2θ = 32.1°, I = 73; hkl 2 1 0, 2θ = 34.1°, I = 72; hkl 1 2 1, 2θ = 33.5°, I = 68; hkl 1 0 -1, 2θ = 23.4°, I = 48; hkl 1 1 1, 2θ = 23.1°, I = 46; hkl 0 1 0, 2θ = 21.5°, I = 43; hkl 0 2 0, 2θ = 43.8°, I = 39; hkl 0 3 2, 2θ = 59.2°, I = 37; hkl 2 2 2, 2θ = 47.3°, I = 30